Simulated powder XRD pattern of ZrCuGeAs for λ = 1.5418 Å (Cu Kα), from the GGA-PBE geometry in the Materials Project.
Peak positions follow from Bragg's law for the DFT cell and can differ from measured ones.

The 12 most intense peaks (2θ = 5–70°), in order of rising 2θ:
30.2°, 2.958 Å, I = 19.2, hkl 1 0 2; 36.9°, 2.436 Å, I = 7.3, hkl 1 0 3; 37.4°, 2.402 Å, I = 14.3, hkl 0 0 4; 38.8°, 2.323 Å, I = 100.0, hkl 1 1 2; 44.8°, 2.023 Å, I = 12.7, hkl 1 0 4; 48.5°, 1.877 Å, I = 32.5, hkl 2 0 0; 51.3°, 1.781 Å, I = 4.2, hkl 1 1 4; 53.6°, 1.710 Å, I = 7.4, hkl 1 0 5; 58.2°, 1.585 Å, I = 5.7, hkl 2 1 2; 62.8°, 1.479 Å, I = 11.8, hkl 2 0 4; 68.2°, 1.376 Å, I = 7.1, hkl 2 1 4; 68.4°, 1.371 Å, I = 4.3, hkl 1 1 6

Crystal structure
Cell lengths 3.7537, 3.7537, 9.6071 Å; angles 90.00, 90.00, 90.00 degrees
Atoms (fractional coordinates):
Zr  0.2500  0.2500  0.2279
Zr  0.7500  0.7500  0.7721
Cu  0.2500  0.7500  0.5000
Cu  0.7500  0.2500  0.5000
Ge  0.2500  0.7500  0.0000
Ge  0.7500  0.2500  0.0000
As  0.2500  0.2500  0.6764
As  0.7500  0.7500  0.3236